Structure and calculated powder diffractogram of Tb5Cd2In2 (a GGA-PBE-relaxed structure; a wavelength of 1.5418 Å).
Kinematic intensities with the Lorentz-polarization factor, no thermal factor.

Crystal structure
Cell lengths 9.3082, 9.3082, 7.3210 Å; angles 90.00, 90.00, 55.41 degrees
Positions (direct):
1 Tb 0.0000 0.0000 0.0000
2 Tb 0.0466 0.6689 0.6635
3 Tb 0.1689 0.5466 0.1635
4 Tb 0.3311 0.9534 0.6635
5 Tb 0.4534 0.8311 0.1635
6 Tb 0.5000 0.5000 0.5000
7 Tb 0.5466 0.1689 0.8365
8 Tb 0.6689 0.0466 0.3365
9 Tb 0.8311 0.4534 0.8365
10 Tb 0.9534 0.3311 0.3365
11 Cd 0.1368 0.8632 0.3864
12 Cd 0.3632 0.6368 0.8864
13 Cd 0.6368 0.3632 0.1136
14 Cd 0.8632 0.1368 0.6136
15 In 0.2103 0.2103 0.0000
16 In 0.2897 0.2897 0.5000
17 In 0.7103 0.7103 0.5000
18 In 0.7897 0.7897 0.0000

Peak list (10 most intense, 2θ from 5° to 70°, low angle first)
two_theta  d_spacing  I_rel
29.94  2.984  59.8
31.12  2.874  100.0
31.51  2.839  20.9
32.02  2.795  41.0
32.40  2.763  53.2
32.60  2.747  31.0
32.72  2.737  36.9
33.83  2.649  61.7
38.72  2.325  27.0
49.17  1.853  24.0

***

Structure and calculated powder diffractogram of Tb6Y8Mg (a GGA-PBE-relaxed structure; a wavelength of 1.5418 Å).
Kinematic intensities with the Lorentz-polarization factor, no thermal factor.

Crystal structure
Cell lengths 9.4959, 9.4959, 6.2022 Å; angles 90.00, 90.00, 120.00 degrees
Positions (direct):
1 Tb 0.0913 0.6355 0.3096
2 Tb 0.3645 0.4558 0.3096
3 Tb 0.4558 0.0913 0.6904
4 Tb 0.5442 0.9087 0.3096
5 Tb 0.6355 0.5442 0.6904
6 Tb 0.9087 0.3645 0.6904
7 Y 0.0376 0.7714 0.8070
8 Y 0.2286 0.2662 0.8070
9 Y 0.2662 0.0376 0.1930
10 Y 0.3333 0.6667 0.8133
11 Y 0.6667 0.3333 0.1867
12 Y 0.7338 0.9624 0.8070
13 Y 0.7714 0.7338 0.1930
14 Y 0.9624 0.2286 0.1930
15 Mg 0.0000 0.0000 0.5000

Peak list (10 most intense, 2θ from 5° to 70°, low angle first)
two_theta  d_spacing  I_rel
26.00  3.427  8.2
28.75  3.106  48.6
30.81  2.902  9.5
32.21  2.779  100.0
34.55  2.596  16.9
41.12  2.195  13.8
50.88  1.795  16.8
53.21  1.722  11.8
59.51  1.553  13.9
61.51  1.508  11.8

***

Structure and calculated powder diffractogram of Nd5ErTm4 (a GGA-PBE-relaxed structure; a wavelength of 1.5418 Å).
Kinematic intensities with the Lorentz-polarization factor, no thermal factor.

Crystal structure
Cell lengths 3.5867, 9.4471, 10.1632 Å; angles 105.92, 90.00, 100.70 degrees
Positions (direct):
1 Nd 0.0000 0.0000 0.0000
2 Nd 0.2007 0.4005 0.1010
3 Nd 0.3994 0.8002 0.6940
4 Nd 0.6006 0.1998 0.3060
5 Nd 0.7993 0.5995 0.8990
6 Er 0.0000 0.0000 0.5000
7 Tm 0.2000 0.3986 0.5997
8 Tm 0.3984 0.7983 0.2049
9 Tm 0.6016 0.2017 0.7951
10 Tm 0.8000 0.6014 0.4003

Peak list (10 most intense, 2θ from 5° to 70°, low angle first)
two_theta  d_spacing  I_rel
30.52  2.929  100.0
30.71  2.911  32.8
35.37  2.537  45.0
35.58  2.523  22.2
50.94  1.793  24.0
60.42  1.532  19.0
60.58  1.528  9.5
60.69  1.526  14.2
60.82  1.523  9.4
63.53  1.465  12.3